Diffraction record for KCuPdSe5. The XRD peak list is theoretical, not measured: it uses a crystal structure in Alexandria, relaxed with GGA-PBE and Cu Ka.

Peak list (10 most intense, 10 to 90 degrees two-theta, in order of rising 2θ)
hkl 1 1 0, 4.717 Å, 18.81 deg, I 16; hkl 1 0 2, 3.253 Å, 27.42 deg, I 16; hkl 1 2 0, 3.166 Å, 28.18 deg, I 46; hkl 1 0 -3, 2.941 Å, 30.39 deg, I 38; hkl 1 2 1, 2.876 Å, 31.10 deg, I 100; hkl 2 0 -3, 2.424 Å, 37.09 deg, I 21; hkl 2 2 -1, 2.387 Å, 37.69 deg, I 15; hkl 2 2 2, 1.944 Å, 46.72 deg, I 28; hkl 0 2 4, 1.902 Å, 47.83 deg, I 30; hkl 0 4 0, 1.850 Å, 49.26 deg, I 24

Structure:
abc: 6.2910 7.3995 9.1146
angles: 90.00 103.33 90.00
Atoms (fractional coordinates):
K: 0.2428 0.2500 0.4538
K: 0.7572 0.7500 0.5462
Cu: 0.3820 0.2500 0.8917
Cu: 0.6180 0.7500 0.1083
Pd: 0.0000 0.0000 0.0000
Pd: 0.0000 0.5000 0.0000
Se: 0.1812 0.5104 0.7838
Se: 0.1812 0.9896 0.7838
Se: 0.2118 0.7500 0.3939
Se: 0.2316 0.7500 0.1353
Se: 0.4583 0.7500 0.8421
Se: 0.5417 0.2500 0.1579
Se: 0.7684 0.2500 0.8647
Se: 0.7882 0.2500 0.6061
Se: 0.8188 0.0104 0.2162
Se: 0.8188 0.4896 0.2162